No. 1
LiThBiPd: simulated PXRD pattern (Cu Kα), based on a cell relaxed with PBE.
Neutral-atom scattering factors, no anomalous dispersion.

Top 8 peaks for 2θ from 10° to 90°, sorted by position:
2θ 21.1, rel. 44
2θ 34.8, rel. 100
2θ 41.0, rel. 25
2θ 50.0, rel. 18
2θ 54.8, rel. 11
2θ 62.3, rel. 38
2θ 73.4, rel. 12
2θ 83.8, rel. 17

Atomic structure:
a b c (Å): 5.1611 5.1611 5.1611
angles (deg): 60.00 60.00 60.00
Sites, in units of the cell vectors:
Li  0.0000  0.0000  0.0000
Th  0.5000  0.5000  0.5000
Bi  0.7500  0.7500  0.7500
Pd  0.2500  0.2500  0.2500

***

No. 2
Ce3Pu2Ga2: simulated PXRD pattern (Cu Kα), based on a cell relaxed with PBE.
Neutral-atom scattering factors, no anomalous dispersion.

Top 8 peaks for 2θ from 10° to 90°, sorted by position:
2θ 20.2, rel. 25
2θ 21.6, rel. 23
2θ 34.2, rel. 100
2θ 35.1, rel. 72
2θ 36.7, rel. 36
2θ 37.2, rel. 43
2θ 47.9, rel. 18
2θ 53.2, rel. 25

Atomic structure:
a b c (Å): 5.8691 5.8691 6.3029
angles (deg): 90.71 90.71 48.66
Sites, in units of the cell vectors:
Ce  0.0000  0.0000  0.0000
Ce  0.2926  0.2926  0.8019
Ce  0.7074  0.7074  0.1981
Pu  0.1282  0.1282  0.3824
Pu  0.8718  0.8718  0.6176
Ga  0.4164  0.4164  0.3083
Ga  0.5836  0.5836  0.6917

***

No. 3
Na3Au: simulated PXRD pattern (Cu Kα), based on a cell relaxed with PBE.
Neutral-atom scattering factors, no anomalous dispersion.

Top 8 peaks for 2θ from 10° to 90°, sorted by position:
2θ 15.3, rel. 49
2θ 22.8, rel. 100
2θ 26.6, rel. 49
2θ 30.8, rel. 21
2θ 34.1, rel. 21
2θ 35.3, rel. 86
2θ 43.8, rel. 27
2θ 44.8, rel. 41

Atomic structure:
a b c (Å): 6.6975 6.6975 5.2584
angles (deg): 90.00 90.00 120.00
Sites, in units of the cell vectors:
Na  0.1773  0.3546  0.2500
Na  0.1773  0.8227  0.2500
Na  0.3546  0.1773  0.7500
Na  0.6454  0.8227  0.2500
Na  0.8227  0.1773  0.7500
Na  0.8227  0.6454  0.7500
Au  0.3333  0.6667  0.7500
Au  0.6667  0.3333  0.2500

***

No. 4
Cs6Rb7Na: simulated PXRD pattern (Cu Kα), based on a cell relaxed with PBE.
Neutral-atom scattering factors, no anomalous dispersion.

Top 8 peaks for 2θ from 10° to 90°, sorted by position:
2θ 19.0, rel. 100
2θ 20.6, rel. 71
2θ 21.5, rel. 72
2θ 24.0, rel. 85
2θ 31.8, rel. 20
2θ 33.0, rel. 21
2θ 41.0, rel. 20
2θ 42.7, rel. 21

Atomic structure:
a b c (Å): 19.8134 19.8134 19.8134
angles (deg): 152.53 58.82 129.09
Sites, in units of the cell vectors:
Cs  0.0531  0.4460  0.1489
Cs  0.1253  0.2069  0.3323
Cs  0.2029  0.0540  0.6071
Cs  0.2971  0.9042  0.8511
Cs  0.3747  0.7069  0.0816
Cs  0.4469  0.5958  0.3929
Cs  0.5531  0.4042  0.6071
Cs  0.6253  0.2931  0.9184
Cs  0.7029  0.0958  0.1489
Cs  0.7971  0.9460  0.3929
Cs  0.8747  0.7931  0.6677
Cs  0.9469  0.5540  0.8511
Rb  0.0091  0.7375  0.7465
Rb  0.1170  0.2783  0.6535
Rb  0.1248  0.7783  0.1613
Rb  0.2500  0.2500  0.0000
Rb  0.3752  0.5365  0.6535
Rb  0.3830  0.0365  0.1613
Rb  0.4909  0.2375  0.7284
Rb  0.5091  0.7625  0.2716
Rb  0.6170  0.9635  0.8387
Rb  0.6248  0.4635  0.3465
Rb  0.7500  0.7500  0.0000
Rb  0.8752  0.2217  0.8387
Rb  0.8830  0.7217  0.3465
Rb  0.9909  0.2625  0.2535
Na  0.2500  0.7500  0.5000
Na  0.7500  0.2500  0.5000

***

No. 5
TaZn3: simulated PXRD pattern (Cu Kα), based on a cell relaxed with PBE.
Neutral-atom scattering factors, no anomalous dispersion.

Top 8 peaks for 2θ from 10° to 90°, sorted by position:
2θ 22.6, rel. 23
2θ 32.2, rel. 19
2θ 39.7, rel. 100
2θ 46.2, rel. 48
2θ 52.0, rel. 11
2θ 67.4, rel. 30
2θ 81.2, rel. 36
2θ 85.6, rel. 10

Atomic structure:
a b c (Å): 3.9302 3.9302 3.9302
angles (deg): 90.00 90.00 90.00
Sites, in units of the cell vectors:
Ta  0.0000  0.0000  0.0000
Zn  0.0000  0.5000  0.5000
Zn  0.5000  0.0000  0.5000
Zn  0.5000  0.5000  0.0000

***

No. 6
Li2Ca3Sn7: simulated PXRD pattern (Cu Kα), based on a cell relaxed with PBE.
Neutral-atom scattering factors, no anomalous dispersion.

Top 8 peaks for 2θ from 10° to 90°, sorted by position:
2θ 17.2, rel. 50
2θ 28.6, rel. 48
2θ 30.4, rel. 100
2θ 32.8, rel. 37
2θ 33.1, rel. 78
2θ 36.6, rel. 53
2θ 40.1, rel. 73
2θ 54.1, rel. 36

Atomic structure:
a b c (Å): 15.7643 15.7643 15.7643
angles (deg): 163.58 163.58 23.30
Sites, in units of the cell vectors:
Li  0.1402  0.1402  0.0000
Li  0.8598  0.8598  0.0000
Ca  0.3326  0.3326  0.0000
Ca  0.5000  0.5000  0.0000
Ca  0.6674  0.6674  0.0000
Sn  0.0000  0.0000  0.0000
Sn  0.0826  0.5826  0.5000
Sn  0.2309  0.2309  0.0000
Sn  0.4174  0.9174  0.5000
Sn  0.5826  0.0826  0.5000
Sn  0.7691  0.7691  0.0000
Sn  0.9174  0.4174  0.5000

***

No. 7
In4Sn4Hg5: simulated PXRD pattern (Cu Kα), based on a cell relaxed with PBE.
Neutral-atom scattering factors, no anomalous dispersion.

Top 8 peaks for 2θ from 10° to 90°, sorted by position:
2θ 26.0, rel. 16
2θ 29.4, rel. 18
2θ 30.3, rel. 16
2θ 32.5, rel. 100
2θ 34.7, rel. 37
2θ 43.1, rel. 17
2θ 56.4, rel. 18
2θ 64.3, rel. 17

Atomic structure:
a b c (Å): 9.5542 9.5542 9.5542
angles (deg): 92.77 92.77 154.60
Sites, in units of the cell vectors:
In  0.0743  0.7842  0.8585
In  0.2158  0.0743  0.2901
In  0.7842  0.9257  0.7099
In  0.9257  0.2158  0.1415
Sn  0.0945  0.4056  0.5001
Sn  0.4056  0.9055  0.3111
Sn  0.5944  0.0945  0.6889
Sn  0.9055  0.5944  0.4999
Hg  0.0000  0.0000  0.0000
Hg  0.2820  0.6237  0.9057
Hg  0.3763  0.2820  0.6584
Hg  0.6237  0.7180  0.3416
Hg  0.7180  0.3763  0.0943

***

No. 8
YZrRe: simulated PXRD pattern (Cu Kα), based on a cell relaxed with PBE.
Neutral-atom scattering factors, no anomalous dispersion.

Top 8 peaks for 2θ from 10° to 90°, sorted by position:
2θ 17.4, rel. 73
2θ 19.6, rel. 52
2θ 32.1, rel. 31
2θ 35.0, rel. 55
2θ 35.1, rel. 37
2θ 36.2, rel. 52
2θ 40.2, rel. 100
2θ 40.6, rel. 68

Atomic structure:
a b c (Å): 5.4112 5.4112 6.7498
angles (deg): 123.15 123.15 66.42
Sites, in units of the cell vectors:
Y  0.1813  0.1813  0.0076
Y  0.8187  0.8187  0.9924
Zr  0.3268  0.3268  0.6454
Zr  0.6732  0.6732  0.3546
Re  0.2430  0.7570  0.5000
Re  0.7570  0.2430  0.5000

***

No. 9
CsCr2SnBr8: simulated PXRD pattern (Cu Kα), based on a cell relaxed with PBE.
Neutral-atom scattering factors, no anomalous dispersion.

Top 8 peaks for 2θ from 10° to 90°, sorted by position:
2θ 18.4, rel. 55
2θ 25.3, rel. 100
2θ 26.7, rel. 44
2θ 30.5, rel. 90
2θ 36.1, rel. 34
2θ 42.8, rel. 32
2θ 44.6, rel. 55
2θ 52.0, rel. 39

Atomic structure:
a b c (Å): 11.3109 11.3109 11.3109
angles (deg): 36.25 36.25 36.25
Sites, in units of the cell vectors:
Cs  0.0000  0.0000  0.0000
Cr  0.2464  0.2464  0.2464
Cr  0.7536  0.7536  0.7536
Sn  0.5000  0.5000  0.5000
Br  0.1105  0.4352  0.7711
Br  0.2289  0.5648  0.8895
Br  0.3214  0.3214  0.3214
Br  0.4352  0.7711  0.1105
Br  0.5648  0.8895  0.2289
Br  0.6786  0.6786  0.6786
Br  0.7711  0.1105  0.4352
Br  0.8895  0.2289  0.5648

***

No. 10
K9Rb6Ag: simulated PXRD pattern (Cu Kα), based on a cell relaxed with PBE.
Neutral-atom scattering factors, no anomalous dispersion.

Top 8 peaks for 2θ from 10° to 90°, sorted by position:
2θ 22.5, rel. 100
2θ 26.0, rel. 87
2θ 37.2, rel. 69
2θ 43.9, rel. 44
2θ 45.9, rel. 22
2θ 58.8, rel. 17
2θ 60.5, rel. 27
2θ 67.0, rel. 19

Atomic structure:
a b c (Å): 12.7953 12.7953 12.7953
angles (deg): 129.95 129.95 73.49
Sites, in units of the cell vectors:
K  0.0000  0.0000  0.0000
K  0.0729  0.4700  0.2044
K  0.1315  0.9271  0.3971
K  0.2656  0.8685  0.7956
K  0.4700  0.2656  0.3971
K  0.5300  0.7344  0.6029
K  0.7344  0.1315  0.2044
K  0.8685  0.0729  0.6029
K  0.9271  0.5300  0.7956
Rb  0.1928  0.3884  0.5812
Rb  0.3273  0.3273  0.0000
Rb  0.3884  0.8072  0.1956
Rb  0.6116  0.1928  0.8044
Rb  0.6727  0.6727  0.0000
Rb  0.8072  0.6116  0.4188
Ag  0.5000  0.5000  0.0000

***

No. 11
Cs4Na2Hg5: simulated PXRD pattern (Cu Kα), based on a cell relaxed with PBE.
Neutral-atom scattering factors, no anomalous dispersion.

Top 8 peaks for 2θ from 10° to 90°, sorted by position:
2θ 19.9, rel. 62
2θ 25.4, rel. 55
2θ 25.9, rel. 37
2θ 26.7, rel. 87
2θ 26.9, rel. 52
2θ 27.7, rel. 100
2θ 33.5, rel. 43
2θ 35.7, rel. 51

Atomic structure:
a b c (Å): 13.8368 13.8368 13.8368
angles (deg): 131.27 57.89 150.68
Sites, in units of the cell vectors:
Cs  0.0593  0.7223  0.7816
Cs  0.1522  0.1226  0.2748
Cs  0.3478  0.6226  0.9703
Cs  0.4407  0.2223  0.6631
Cs  0.5593  0.7777  0.3369
Cs  0.6522  0.3774  0.0297
Cs  0.8478  0.8774  0.7252
Cs  0.9407  0.2777  0.2184
Na  0.0503  0.7500  0.3003
Na  0.4497  0.7500  0.6997
Na  0.5503  0.2500  0.3003
Na  0.9497  0.2500  0.6997
Hg  0.0912  0.4186  0.5098
Hg  0.2180  0.7950  0.0130
Hg  0.2500  0.2500  0.0000
Hg  0.2820  0.2950  0.5771
Hg  0.4088  0.9186  0.3274
Hg  0.5912  0.0814  0.6726
Hg  0.7180  0.7050  0.4229
Hg  0.7500  0.7500  0.0000
Hg  0.7820  0.2050  0.9870
Hg  0.9088  0.5814  0.4902

***

No. 12
TmBe6Nb2: simulated PXRD pattern (Cu Kα), based on a cell relaxed with PBE.
Neutral-atom scattering factors, no anomalous dispersion.

Top 8 peaks for 2θ from 10° to 90°, sorted by position:
2θ 27.1, rel. 100
2θ 29.0, rel. 25
2θ 40.1, rel. 86
2θ 47.9, rel. 28
2θ 56.9, rel. 23
2θ 64.2, rel. 21
2θ 67.1, rel. 15
2θ 83.9, rel. 20

Atomic structure:
a b c (Å): 6.5837 6.5837 3.0778
angles (deg): 90.00 90.00 120.00
Sites, in units of the cell vectors:
Tm  0.0000  0.0000  0.0000
Be  0.0000  0.3440  0.5000
Be  0.0000  0.6560  0.5000
Be  0.3440  0.0000  0.5000
Be  0.3440  0.3440  0.5000
Be  0.6560  0.0000  0.5000
Be  0.6560  0.6560  0.5000
Nb  0.3333  0.6667  0.0000
Nb  0.6667  0.3333  0.0000

***

No. 13
GaTeBr: simulated PXRD pattern (Cu Kα), based on a cell relaxed with PBE.
Neutral-atom scattering factors, no anomalous dispersion.

Top 8 peaks for 2θ from 10° to 90°, sorted by position:
2θ 10.5, rel. 44
2θ 25.8, rel. 62
2θ 26.5, rel. 100
2θ 40.2, rel. 18
2θ 40.3, rel. 19
2θ 43.5, rel. 17
2θ 45.8, rel. 17
2θ 46.0, rel. 20

Atomic structure:
a b c (Å): 4.1651 6.0412 8.6565
angles (deg): 90.00 103.53 90.00
Sites, in units of the cell vectors:
Ga  0.1957  0.0000  0.3879
Ga  0.8043  0.5000  0.6121
Te  0.3277  0.7745  0.6601
Te  0.6723  0.2745  0.3399
Br  0.0870  0.7649  0.1652
Br  0.9130  0.2649  0.8348